1.
This entry pairs a crystal structure of Li9Mn2Co5O16 with its computed powder diffraction line list. Radiation: a wavelength of 1.5418 Å. Structure: a structure optimized by DFT (PBE+U).
Lines closer than 0.1° are merged.

a = 6.6573 Å, b = 6.6573 Å, c = 15.3126 Å
α = 92.44°, β = 92.44°, γ = 25.12°
Fractional positions:
Li (0.0000, 0.0000, 0.0000)
Li (0.0610, 0.0610, 0.1814)
Li (0.1210, 0.1210, 0.3646)
Li (0.2460, 0.2460, 0.7402)
Li (0.3754, 0.3754, 0.1177)
Li (0.5005, 0.5005, 0.4898)
Li (0.6221, 0.6221, 0.8735)
Li (0.7424, 0.7424, 0.2379)
Li (0.8709, 0.8709, 0.6144)
Mn (0.4434, 0.4434, 0.3035)
Mn (0.9326, 0.9326, 0.8039)
Co (0.1847, 0.1847, 0.5544)
Co (0.3059, 0.3059, 0.9364)
Co (0.5607, 0.5607, 0.6785)
Co (0.6707, 0.6707, 0.0631)
Co (0.8106, 0.8106, 0.4293)
O (0.0332, 0.0332, 0.5928)
O (0.0762, 0.0762, 0.7687)
O (0.1602, 0.1602, 0.9642)
O (0.2172, 0.2172, 0.1416)
O (0.2922, 0.2922, 0.3454)
O (0.3366, 0.3366, 0.5134)
O (0.4037, 0.4037, 0.7218)
O (0.4619, 0.4619, 0.8860)
O (0.5361, 0.5361, 0.0824)
O (0.5796, 0.5796, 0.2778)
O (0.6575, 0.6575, 0.4692)
O (0.7154, 0.7154, 0.6434)
O (0.7906, 0.7906, 0.8395)
O (0.8388, 0.8388, 0.0152)
O (0.9064, 0.9064, 0.2242)
O (0.9642, 0.9642, 0.3899)

Peak list (10 most intense, 2θ from 5° to 70°, low angle first)
2θ/deg  d (Å)  I/Imax
5.8  15.298  18
18.3  4.846  100
35.5  2.530  14
36.2  2.481  25
42.9  2.106  27
43.8  2.066  53
47.6  1.910  9
57.7  1.599  10
62.9  1.478  15
63.2  1.472  14

=====

2.
This entry pairs a crystal structure of K2MnF6 with its computed powder diffraction line list. Radiation: a wavelength of 1.5418 Å. Structure: a structure optimized by DFT (PBE+U).
Lines closer than 0.1° are merged.

a = 5.9160 Å, b = 5.9160 Å, c = 5.9160 Å
α = 60.00°, β = 60.00°, γ = 60.00°
Fractional positions:
K (0.2500, 0.2500, 0.2500)
K (0.7500, 0.7500, 0.7500)
Mn (0.0000, 0.0000, 0.0000)
F (0.2206, 0.2206, 0.7794)
F (0.2206, 0.7794, 0.2206)
F (0.2206, 0.7794, 0.7794)
F (0.7794, 0.2206, 0.2206)
F (0.7794, 0.2206, 0.7794)
F (0.7794, 0.7794, 0.2206)

Peak list (10 most intense, 2θ from 5° to 70°, low angle first)
2θ/deg  d (Å)  I/Imax
18.4  4.830  100
21.2  4.183  2
30.2  2.958  72
35.6  2.523  21
37.2  2.415  45
43.3  2.092  69
53.7  1.708  21
57.2  1.610  18
62.8  1.479  34
66.1  1.414  12

=====

3.
This entry pairs a crystal structure of Y6MgMn6O18 with its computed powder diffraction line list. Radiation: a wavelength of 1.5418 Å. Structure: a structure optimized by DFT (PBE+U).
Lines closer than 0.1° are merged.

a = 6.1996 Å, b = 6.1996 Å, c = 12.3178 Å
α = 90.22°, β = 90.22°, γ = 119.90°
Fractional positions:
Y (0.0000, 0.0000, 0.0000)
Y (0.3301, 0.6662, 0.4641)
Y (0.3351, 0.6722, 0.9537)
Y (0.6662, 0.3301, 0.4641)
Y (0.6722, 0.3351, 0.9537)
Y (0.9906, 0.9906, 0.5481)
Mg (0.9858, 0.9858, 0.3387)
Mn (0.0034, 0.3430, 0.7351)
Mn (0.3430, 0.0034, 0.7351)
Mn (0.3630, 0.3630, 0.2234)
Mn (0.6240, 0.9936, 0.2092)
Mn (0.6504, 0.6504, 0.7356)
Mn (0.9936, 0.6240, 0.2092)
O (0.9995, 0.9995, 0.1891)
O (0.0031, 0.6409, 0.0460)
O (0.0046, 0.3628, 0.5754)
O (0.0067, 0.3075, 0.8886)
O (0.2896, 0.2896, 0.3913)
O (0.3075, 0.0067, 0.8886)
O (0.3269, 0.6557, 0.2576)
O (0.3315, 0.6684, 0.7534)
O (0.3628, 0.0046, 0.5754)
O (0.3753, 0.3753, 0.0667)
O (0.6266, 0.6266, 0.5765)
O (0.6409, 0.0031, 0.0460)
O (0.6557, 0.3269, 0.2576)
O (0.6684, 0.3315, 0.7534)
O (0.6879, 0.6879, 0.8888)
O (0.7097, 0.9957, 0.4103)
O (0.9939, 0.9939, 0.7211)
O (0.9957, 0.7097, 0.4103)

Peak list (10 most intense, 2θ from 5° to 70°, low angle first)
2θ/deg  d (Å)  I/Imax
14.4  6.159  19
28.8  3.101  70
29.0  3.079  59
29.7  3.011  52
29.7  3.004  55
32.3  2.775  85
32.4  2.764  78
33.6  2.668  21
41.4  2.180  20
51.0  1.791  100

=====

4.
This entry pairs a crystal structure of MgMn6O7F5 with its computed powder diffraction line list. Radiation: a wavelength of 1.5418 Å. Structure: a structure optimized by DFT (PBE+U).
Lines closer than 0.1° are merged.

a = 5.1988 Å, b = 5.8776 Å, c = 7.6891 Å
α = 82.66°, β = 84.92°, γ = 79.69°
Fractional positions:
Mg (0.0000, 0.0000, 0.0000)
Mn (0.0433, 0.4165, 0.2114)
Mn (0.4610, 0.4913, 0.4883)
Mn (0.4794, 0.1720, 0.8224)
Mn (0.4911, 0.8620, 0.1837)
Mn (0.7562, 0.6515, 0.8384)
Mn (0.9745, 0.0271, 0.5020)
O (0.1548, 0.0631, 0.2520)
O (0.3343, 0.5580, 0.2577)
O (0.3837, 0.8869, 0.9462)
O (0.5663, 0.4584, 0.7231)
O (0.7933, 0.3238, 0.4119)
O (0.8205, 0.9912, 0.7486)
O (0.8423, 0.7037, 0.0911)
F (0.1087, 0.3262, 0.9256)
F (0.1317, 0.6991, 0.5707)
F (0.2821, 0.1851, 0.5896)
F (0.6295, 0.8332, 0.4135)
F (0.6569, 0.1824, 0.0665)

Peak list (10 most intense, 2θ from 5° to 70°, low angle first)
2θ/deg  d (Å)  I/Imax
22.8  3.901  100
27.6  3.231  87
29.5  3.031  32
34.6  2.591  36
35.1  2.555  34
35.4  2.536  35
36.8  2.442  32
43.0  2.103  28
53.9  1.701  26
61.5  1.509  25

=====

5.
This entry pairs a crystal structure of Li4Ti3V2Co3O16 with its computed powder diffraction line list. Radiation: a wavelength of 1.5418 Å. Structure: a structure optimized by DFT (PBE+U).
Lines closer than 0.1° are merged.

a = 5.9129 Å, b = 5.9133 Å, c = 9.6319 Å
α = 90.21°, β = 90.37°, γ = 119.78°
Fractional positions:
Li (0.0000, 0.0000, 0.0000)
Li (0.0116, 0.0124, 0.5079)
Li (0.3323, 0.6630, 0.5897)
Li (0.6783, 0.3332, 0.0906)
Ti (0.1731, 0.8195, 0.2705)
Ti (0.6589, 0.8006, 0.2734)
Ti (0.8178, 0.6358, 0.7579)
V (0.3356, 0.6648, 0.9928)
V (0.6543, 0.2942, 0.5055)
Co (0.1791, 0.3472, 0.2873)
Co (0.3420, 0.1696, 0.7868)
Co (0.8291, 0.1720, 0.7848)
O (0.0069, 0.0093, 0.1931)
O (0.0499, 0.5353, 0.1516)
O (0.1760, 0.3521, 0.9136)
O (0.1773, 0.8201, 0.9094)
O (0.3474, 0.6817, 0.3881)
O (0.3551, 0.1795, 0.4032)
O (0.4877, 0.9664, 0.1603)
O (0.5005, 0.5326, 0.1483)
O (0.5264, 0.0456, 0.6349)
O (0.5256, 0.4915, 0.6444)
O (0.6438, 0.8177, 0.9094)
O (0.6813, 0.3545, 0.8878)
O (0.8272, 0.1764, 0.4053)
O (0.8413, 0.6731, 0.3918)
O (0.9644, 0.4964, 0.6374)
O (0.9933, 0.9881, 0.7001)

Peak list (10 most intense, 2θ from 5° to 70°, low angle first)
2θ/deg  d (Å)  I/Imax
18.4  4.816  80
19.5  4.546  46
19.7  4.515  100
33.0  2.711  25
35.7  2.514  29
36.3  2.473  55
39.9  2.258  38
45.0  2.013  30
45.3  2.000  31
62.9  1.478  36

=====

6.
This entry pairs a crystal structure of Zn3CuW4O16 with its computed powder diffraction line list. Radiation: a wavelength of 1.5418 Å. Structure: a structure optimized by DFT (PBE+U).
Lines closer than 0.1° are merged.

a = 6.7653 Å, b = 5.8262 Å, c = 7.0292 Å
α = 90.00°, β = 93.26°, γ = 90.00°
Fractional positions:
Zn (0.0000, 0.0000, 0.0000)
Zn (0.2519, 0.6537, 0.7519)
Zn (0.7481, 0.6537, 0.2481)
Cu (0.5000, 0.9922, 0.5000)
W (0.0000, 0.1553, 0.5000)
W (0.2524, 0.5017, 0.2493)
W (0.5000, 0.1526, 0.0000)
W (0.7476, 0.5017, 0.7507)
O (0.0422, 0.7024, 0.1990)
O (0.0464, 0.2207, 0.2365)
O (0.1985, 0.4342, 0.5163)
O (0.2120, 0.9582, 0.5498)
O (0.2937, 0.9530, 0.9457)
O (0.2994, 0.4354, 0.9833)
O (0.4515, 0.2248, 0.2610)
O (0.4584, 0.7038, 0.3036)
O (0.5416, 0.7038, 0.6964)
O (0.5485, 0.2248, 0.7390)
O (0.7006, 0.4354, 0.0167)
O (0.7063, 0.9530, 0.0543)
O (0.7880, 0.9582, 0.4502)
O (0.8015, 0.4342, 0.4837)
O (0.9536, 0.2207, 0.7635)
O (0.9578, 0.7024, 0.8010)

Peak list (10 most intense, 2θ from 5° to 70°, low angle first)
2θ/deg  d (Å)  I/Imax
18.7  4.734  38
23.4  3.799  36
24.2  3.674  49
29.7  3.006  93
30.6  2.920  100
35.7  2.518  36
35.8  2.505  27
50.8  1.797  27
53.6  1.708  21
64.3  1.450  27

=====

7.
This entry pairs a crystal structure of LiV2P3O12 with its computed powder diffraction line list. Radiation: a wavelength of 1.5418 Å. Structure: a structure optimized by DFT (PBE+U).
Lines closer than 0.1° are merged.

a = 9.6023 Å, b = 9.6023 Å, c = 8.0536 Å
α = 105.38°, β = 105.38°, γ = 36.54°
Fractional positions:
Li (0.0892, 0.9108, 0.7500)
Li (0.9108, 0.0892, 0.2500)
V (0.2003, 0.5306, 0.9076)
V (0.4694, 0.7997, 0.5924)
V (0.5306, 0.2003, 0.4076)
V (0.7997, 0.4694, 0.0924)
P (0.0039, 0.3537, 0.7312)
P (0.3537, 0.0039, 0.2312)
P (0.4381, 0.5619, 0.2500)
P (0.5619, 0.4381, 0.7500)
P (0.6463, 0.9961, 0.7688)
P (0.9961, 0.6463, 0.2688)
O (0.0839, 0.5660, 0.0864)
O (0.0921, 0.1651, 0.1867)
O (0.1242, 0.4012, 0.7425)
O (0.1651, 0.0921, 0.6867)
O (0.2022, 0.5169, 0.4120)
O (0.2483, 0.6847, 0.0950)
O (0.3153, 0.7517, 0.4050)
O (0.3327, 0.5427, 0.7713)
O (0.4012, 0.1242, 0.2425)
O (0.4340, 0.9161, 0.4136)
O (0.4573, 0.6673, 0.7287)
O (0.4831, 0.7978, 0.0880)
O (0.5169, 0.2022, 0.9120)
O (0.5428, 0.3327, 0.2713)
O (0.5660, 0.0839, 0.5864)
O (0.5988, 0.8758, 0.7575)
O (0.6673, 0.4573, 0.2287)
O (0.6847, 0.2483, 0.5950)
O (0.7517, 0.3153, 0.9050)
O (0.7978, 0.4831, 0.5880)
O (0.8349, 0.9079, 0.3133)
O (0.8758, 0.5988, 0.2575)
O (0.9079, 0.8349, 0.8133)
O (0.9161, 0.4340, 0.9136)

Peak list (10 most intense, 2θ from 5° to 70°, low angle first)
2θ/deg  d (Å)  I/Imax
15.6  5.694  100
18.5  4.798  78
20.3  4.385  77
22.4  3.970  75
23.0  3.867  44
26.1  3.409  62
32.5  2.754  52
32.9  2.724  50
34.3  2.613  43
34.6  2.594  38

=====

8.
This entry pairs a crystal structure of Ba3NiIrRuO9 with its computed powder diffraction line list. Radiation: a wavelength of 1.5418 Å. Structure: a structure optimized by DFT (PBE+U).
Lines closer than 0.1° are merged.

a = 5.8230 Å, b = 5.8230 Å, c = 14.2805 Å
α = 90.00°, β = 90.00°, γ = 120.00°
Fractional positions:
Ba (0.0000, 0.0000, 0.2495)
Ba (0.0000, 0.0000, 0.7505)
Ba (0.3333, 0.6667, 0.5875)
Ba (0.3333, 0.6667, 0.9133)
Ba (0.6667, 0.3333, 0.0867)
Ba (0.6667, 0.3333, 0.4125)
Ni (0.0000, 0.0000, 0.0000)
Ni (0.0000, 0.0000, 0.5000)
Ir (0.3333, 0.6667, 0.1598)
Ir (0.6667, 0.3333, 0.8402)
Ru (0.3333, 0.6667, 0.3423)
Ru (0.6667, 0.3333, 0.6577)
O (0.0228, 0.5114, 0.2501)
O (0.1709, 0.3418, 0.0841)
O (0.1710, 0.3420, 0.4157)
O (0.1709, 0.8291, 0.0841)
O (0.1710, 0.8290, 0.4157)
O (0.3420, 0.1710, 0.5843)
O (0.3418, 0.1709, 0.9159)
O (0.4886, 0.5114, 0.2501)
O (0.4886, 0.9772, 0.2501)
O (0.5114, 0.0228, 0.7499)
O (0.5114, 0.4886, 0.7499)
O (0.6582, 0.8291, 0.0841)
O (0.6580, 0.8290, 0.4157)
O (0.8290, 0.1710, 0.5843)
O (0.8291, 0.1709, 0.9159)
O (0.8290, 0.6580, 0.5843)
O (0.8291, 0.6582, 0.9159)
O (0.9772, 0.4886, 0.7499)

Peak list (10 most intense, 2θ from 5° to 70°, low angle first)
2θ/deg  d (Å)  I/Imax
18.7  4.755  14
25.7  3.462  12
30.7  2.912  100
36.1  2.485  19
40.5  2.228  10
44.0  2.060  20
48.1  1.890  19
54.6  1.681  30
58.2  1.586  15
63.9  1.456  16